No. 1
Starting from a DFT-relaxed cell (PBE, Alexandria), the PXRD pattern of Np2NO3 was calculated for CuKα.
Neutral-atom scattering factors, no anomalous dispersion.

Largest 8 diffraction maxima, in order of rising 2θ, 15 to 90 degrees two-theta:
- 28.94 deg, intensity 100.0, (1 1 1)
- 33.54 deg, intensity 38.0, (2 0 0)
- 48.17 deg, intensity 48.1, (2 2 0)
- 57.18 deg, intensity 46.6, (3 1 1)
- 59.98 deg, intensity 10.8, (2 2 2)
- 77.94 deg, intensity 19.3, (3 3 1)
- 80.37 deg, intensity 14.9, (4 2 0)
- 89.96 deg, intensity 16.9, (4 2 2)

Cell and atoms:
abc: 5.3431 5.3431 5.3431
angles: 90.00 90.00 90.00
Space group Pn-3m (No. 224, origin choice 2)
Asymmetric unit:
1 Np 0.0000 0.0000 0.0000
2 N 0.2500 0.2500 0.2500
3 O 0.2500 0.2500 0.7500

=====

No. 2
Starting from a DFT-relaxed cell (PBE, Alexandria), the PXRD pattern of PmPuIrRh was calculated for CuKα.
Neutral-atom scattering factors, no anomalous dispersion.

Largest 8 diffraction maxima, in order of rising 2θ, 15 to 90 degrees two-theta:
- 15.94 deg, intensity 18.6, (0 0 2)
- 32.21 deg, intensity 34.9, (0 0 4)
- 32.90 deg, intensity 100.0, (1 1 1)
- 33.44 deg, intensity 20.0, (0 1 3)
- 39.25 deg, intensity 19.6, (1 0 4)
- 40.30 deg, intensity 61.9, (1 1 3)
- 44.53 deg, intensity 22.8, (2 0 0)
- 46.84 deg, intensity 19.7, (0 2 0)

Cell and atoms:
abc: 4.0697 3.8791 11.1169
angles: 90.00 90.00 90.00
Space group Amm2 (No. 38)
Asymmetric unit:
1 Pm 0.0000 0.0000 0.0000
2 Pu 0.5000 0.0000 0.7188
3 Ir 0.0000 0.0000 0.2663
4 Rh 0.5000 0.0000 0.4433

=====

No. 3
Starting from a DFT-relaxed cell (PBE, Alexandria), the PXRD pattern of Tm2ZnGa8 was calculated for CuKα.
Neutral-atom scattering factors, no anomalous dispersion.

Largest 8 diffraction maxima, in order of rising 2θ, 15 to 90 degrees two-theta:
- 20.23 deg, intensity 22.0, (1 0 0)
- 33.19 deg, intensity 33.7, (1 1 2)
- 38.08 deg, intensity 100.0, (1 1 3)
- 41.13 deg, intensity 52.5, (2 0 0)
- 41.27 deg, intensity 13.8, (0 0 5)
- 59.57 deg, intensity 17.2, (2 2 0)
- 59.68 deg, intensity 18.3, (2 0 5)
- 72.93 deg, intensity 28.5, (3 1 3)

Cell and atoms:
abc: 4.3893 4.3893 10.9373
angles: 90.00 90.00 90.00
Space group P4/mmm (No. 123)
Asymmetric unit:
1 Tm 0.0000 0.0000 0.1898
2 Zn 0.0000 0.0000 0.5000
3 Ga 0.0000 0.5000 0.0000
4 Ga 0.0000 0.5000 0.3718
5 Ga 0.5000 0.5000 0.1938

=====

No. 4
Starting from a DFT-relaxed cell (PBE, Alexandria), the PXRD pattern of La2MgSe4 was calculated for CuKα.
Neutral-atom scattering factors, no anomalous dispersion.

Largest 8 diffraction maxima, in order of rising 2θ, 15 to 90 degrees two-theta:
- 22.10 deg, intensity 54.5, (1 2 2)
- 23.15 deg, intensity 58.1, (0 0 3)
- 29.40 deg, intensity 77.1, (2 0 0)
- 31.03 deg, intensity 40.0, (0 0 4)
- 31.49 deg, intensity 78.4, (1 -2 2)
- 31.86 deg, intensity 98.2, (0 4 1)
- 32.94 deg, intensity 42.6, (0 4 3)
- 37.96 deg, intensity 100.0, (2 0 -3)

Cell and atoms:
abc: 6.1047 11.4630 12.5392
angles: 66.83 87.35 84.55
Space group P-1 (No. 2)
Asymmetric unit:
1 La 0.2140 0.3978 0.4522
2 La 0.2221 0.0975 0.8359
3 La 0.2373 0.5756 0.8161
4 La 0.2813 0.1642 0.1759
5 Mg 0.2540 0.9721 0.5169
6 Mg 0.2728 0.7009 0.1220
7 Se 0.0342 0.1837 0.3844
8 Se 0.0704 0.6832 0.3270
9 Se 0.2229 0.8009 0.8872
10 Se 0.2592 0.9533 0.0990
11 Se 0.2628 0.4479 0.1622
12 Se 0.2891 0.2996 0.9189
13 Se 0.3256 0.5511 0.6005
14 Se 0.4691 0.0729 0.6264

=====

No. 5
Starting from a DFT-relaxed cell (PBE, Alexandria), the PXRD pattern of Cd5Ir4 was calculated for CuKα.
Neutral-atom scattering factors, no anomalous dispersion.

Largest 8 diffraction maxima, in order of rising 2θ, 15 to 90 degrees two-theta:
- 37.80 deg, intensity 100.0, (3 0 1)
- 43.69 deg, intensity 17.1, (0 0 2)
- 44.05 deg, intensity 31.4, (3 3 0)
- 63.78 deg, intensity 20.6, (3 3 2)
- 64.06 deg, intensity 9.5, (6 0 0)
- 76.33 deg, intensity 12.6, (3 0 3)
- 76.85 deg, intensity 21.8, (6 3 1)
- 80.76 deg, intensity 9.9, (6 0 2)

Cell and atoms:
abc: 8.7211 8.7211 4.1439
angles: 90.00 90.00 90.00
Space group I4/mmm (No. 139)
Asymmetric unit:
1 Cd 0.0000 0.0000 0.0000
2 Cd 0.1711 0.1711 0.5000
3 Ir 0.0000 0.3501 0.0000

=====

No. 6
Starting from a DFT-relaxed cell (PBE, Alexandria), the PXRD pattern of AcNd2Pd2 was calculated for CuKα.
Neutral-atom scattering factors, no anomalous dispersion.

Largest 8 diffraction maxima, in order of rising 2θ, 15 to 90 degrees two-theta:
- 24.32 deg, intensity 31.2, (1 1 0)
- 26.16 deg, intensity 29.4, (1 1 1)
- 28.42 deg, intensity 100.0, (1 1 -2)
- 30.19 deg, intensity 46.9, (1 1 2)
- 30.30 deg, intensity 74.3, (0 1 3)
- 30.70 deg, intensity 27.9, (1 0 3)
- 33.08 deg, intensity 41.7, (2 0 0)
- 36.22 deg, intensity 62.3, (0 2 0)

Cell and atoms:
abc: 5.4406 4.9602 11.0584
angles: 90.00 95.45 90.00
Space group P2_1/m (No. 11)
Asymmetric unit:
1 Ac 0.1906 0.2500 0.2299
2 Nd 0.2492 0.7500 0.4985
3 Nd 0.3319 0.2500 0.8894
4 Pd 0.1562 0.7500 0.0172
5 Pd 0.2730 0.2500 0.6272

=====

No. 7
Starting from a DFT-relaxed cell (PBE, Alexandria), the PXRD pattern of Dy2Zn3Ni12Ir was calculated for CuKα.
Neutral-atom scattering factors, no anomalous dispersion.

Largest 8 diffraction maxima, in order of rising 2θ, 15 to 90 degrees two-theta:
- 23.92 deg, intensity 43.7, (0 1 5)
- 35.11 deg, intensity 63.6, (0 1 11)
- 36.07 deg, intensity 88.6, (1 1 3)
- 38.62 deg, intensity 48.0, (1 1 6)
- 42.00 deg, intensity 43.2, (0 1 14)
- 42.24 deg, intensity 34.5, (0 2 4)
- 46.18 deg, intensity 100.0, (2 0 8)
- 74.39 deg, intensity 36.0, (2 2 0)

Cell and atoms:
abc: 5.1012 5.1012 34.4837
angles: 90.00 90.00 120.00
Space group R-3m (No. 166, hexagonal axes)
Asymmetric unit:
1 Dy 0.0000 0.0000 0.1422
2 Zn 0.0000 0.5000 0.0000
3 Ni 0.0006 0.5003 0.1087
4 Ni 0.0187 0.5094 0.6118
5 Ir 0.0000 0.0000 0.5000

=====

No. 8
Starting from a DFT-relaxed cell (PBE, Alexandria), the PXRD pattern of La2Tb4Sm2Er was calculated for CuKα.
Neutral-atom scattering factors, no anomalous dispersion.

Largest 8 diffraction maxima, in order of rising 2θ, 15 to 90 degrees two-theta:
- 28.51 deg, intensity 36.5, (6 0 -1)
- 30.76 deg, intensity 51.1, (0 0 3)
- 31.49 deg, intensity 100.0, (3 1 -2)
- 33.17 deg, intensity 91.1, (3 1 1)
- 50.13 deg, intensity 26.2, (9 1 -2)
- 54.06 deg, intensity 20.8, (3 1 -5)
- 57.31 deg, intensity 19.9, (3 1 4)
- 59.98 deg, intensity 30.5, (9 1 1)

Cell and atoms:
abc: 18.8984 3.6461 9.6760
angles: 90.00 115.68 90.00
Space group C2/m (No. 12)
Asymmetric unit:
1 La 0.1648 0.0000 0.0001
2 Tb 0.0198 0.0000 0.3331
3 Tb 0.1852 0.5000 0.3368
4 Sm 0.1469 0.5000 0.6631
5 Er 0.0000 0.5000 0.0000

=====

No. 9
Starting from a DFT-relaxed cell (PBE, Alexandria), the PXRD pattern of BaRe2 was calculated for CuKα.
Neutral-atom scattering factors, no anomalous dispersion.

Largest 8 diffraction maxima, in order of rising 2θ, 15 to 90 degrees two-theta:
- 30.39 deg, intensity 24.7, (0 8 0)
- 37.38 deg, intensity 44.8, (1 3 1)
- 38.25 deg, intensity 21.4, (0 10 0)
- 40.51 deg, intensity 100.0, (1 5 1)
- 41.81 deg, intensity 25.4, (0 0 2)
- 44.87 deg, intensity 15.4, (1 7 1)
- 63.19 deg, intensity 13.1, (1 13 1)
- 75.46 deg, intensity 16.4, (1 5 3)

Cell and atoms:
abc: 3.1164 23.5275 4.3215
angles: 90.00 90.00 90.00
Space group Cmcm (No. 63)
Asymmetric unit:
1 Ba 0.0000 0.1685 0.2500
2 Re 0.0000 0.0473 0.7500
3 Re 0.0000 0.4558 0.7500

=====

No. 10
Starting from a DFT-relaxed cell (PBE, Alexandria), the PXRD pattern of Sm5Tl2Ga2 was calculated for CuKα.
Neutral-atom scattering factors, no anomalous dispersion.

Largest 8 diffraction maxima, in order of rising 2θ, 15 to 90 degrees two-theta:
- 30.14 deg, intensity 39.6, (3 1 2)
- 31.23 deg, intensity 75.1, (4 2 0)
- 31.48 deg, intensity 100.0, (4 0 2)
- 32.01 deg, intensity 59.0, (0 2 2)
- 33.30 deg, intensity 35.8, (4 2 1)
- 36.13 deg, intensity 26.2, (1 3 1)
- 36.55 deg, intensity 24.3, (1 1 3)
- 56.73 deg, intensity 19.6, (5 3 3)

Cell and atoms:
abc: 16.4884 7.9649 7.8517
angles: 90.00 90.00 90.00
Space group Cmce (No. 64)
Asymmetric unit:
1 Sm 0.0000 0.0000 0.0000
2 Sm 0.1301 0.1884 0.3224
3 Tl 0.2206 0.0000 0.0000
4 Ga 0.0000 0.1152 0.6172

=====

Repeat the ninth record exactly.
Starting from a DFT-relaxed cell (PBE, Alexandria), the PXRD pattern of BaRe2 was calculated for CuKα.
Neutral-atom scattering factors, no anomalous dispersion.

Largest 8 diffraction maxima, in order of rising 2θ, 15 to 90 degrees two-theta:
- 30.39 deg, intensity 24.7, (0 8 0)
- 37.38 deg, intensity 44.8, (1 3 1)
- 38.25 deg, intensity 21.4, (0 10 0)
- 40.51 deg, intensity 100.0, (1 5 1)
- 41.81 deg, intensity 25.4, (0 0 2)
- 44.87 deg, intensity 15.4, (1 7 1)
- 63.19 deg, intensity 13.1, (1 13 1)
- 75.46 deg, intensity 16.4, (1 5 3)

Cell and atoms:
abc: 3.1164 23.5275 4.3215
angles: 90.00 90.00 90.00
Space group Cmcm (No. 63)
Asymmetric unit:
1 Ba 0.0000 0.1685 0.2500
2 Re 0.0000 0.0473 0.7500
3 Re 0.0000 0.4558 0.7500